[1]
Starting from a structure optimized by DFT (PBE), the PXRD pattern of NbVCrCuSi was simulated for Cu Kα.
Intensities are scaled so that the largest is 100.

Top 12 peaks for 10° ≤ 2θ ≤ 90°, low angle first:
2θ/deg	d [Å]	I (rel.)
13.47	6.576	23
30.59	2.922	32
41.28	2.187	100
41.34	2.184	96
41.90	2.156	12
45.99	1.973	35
46.32	1.960	37
51.74	1.767	21
67.33	1.391	21
71.95	1.312	15
75.46	1.260	11
82.40	1.170	23

Unit cell a=6.888 b=6.888 c=2.651 alpha=94.98 beta=94.98 gamma=33.07
Atoms (fractional coordinates):
Nb: 0.000 0.000 0.000
V: 0.791 0.791 0.898
Cr: 0.617 0.617 0.645
Cu: 0.391 0.391 0.440
Si: 0.201 0.201 0.295

[2]
Starting from a structure optimized by DFT (PBE), the PXRD pattern of CeB4Ir2Os2 was simulated for Cu Kα.
Intensities are scaled so that the largest is 100.

Top 12 peaks for 10° ≤ 2θ ≤ 90°, low angle first:
2θ/deg	d [Å]	I (rel.)
16.43	5.396	28
27.75	3.215	22
34.54	2.597	100
37.26	2.413	61
40.31	2.237	30
43.81	2.067	15
46.93	1.936	26
48.67	1.871	19
58.70	1.573	16
65.45	1.426	16
69.13	1.359	15
78.88	1.214	14

Unit cell a=7.631 b=7.631 c=4.003 alpha=90.00 beta=90.00 gamma=90.00
Atoms (fractional coordinates):
Ce: 0.000 0.500 0.000
Ce: 0.500 0.000 0.500
B: 0.160 0.217 0.619
B: 0.217 0.840 0.119
B: 0.277 0.662 0.396
B: 0.338 0.277 0.896
B: 0.662 0.723 0.896
B: 0.723 0.338 0.396
B: 0.783 0.160 0.119
B: 0.840 0.783 0.619
Ir: 0.341 0.391 0.392
Ir: 0.391 0.659 0.892
Ir: 0.609 0.341 0.892
Ir: 0.659 0.609 0.392
Os: 0.109 0.854 0.615
Os: 0.146 0.109 0.115
Os: 0.854 0.891 0.115
Os: 0.891 0.146 0.615

[3]
Starting from a structure optimized by DFT (PBE), the PXRD pattern of TbSm6Er4 was simulated for Cu Kα.
Intensities are scaled so that the largest is 100.

Top 12 peaks for 10° ≤ 2θ ≤ 90°, low angle first:
2θ/deg	d [Å]	I (rel.)
30.28	2.951	74
30.61	2.921	63
30.89	2.895	83
31.84	2.811	100
32.03	2.794	49
33.22	2.697	67
44.04	2.056	47
47.13	1.928	16
54.54	1.682	24
55.53	1.655	22
56.16	1.638	17
57.43	1.605	28

Unit cell a=5.625 b=5.625 c=25.693 alpha=90.00 beta=90.00 gamma=118.04
Atoms (fractional coordinates):
Tb: 0.208 0.792 0.750
Tb: 0.792 0.208 0.250
Sm: 0.127 0.873 0.182
Sm: 0.127 0.873 0.318
Sm: 0.199 0.801 0.602
Sm: 0.199 0.801 0.898
Sm: 0.455 0.545 0.250
Sm: 0.500 0.500 0.000
Sm: 0.500 0.500 0.500
Sm: 0.545 0.455 0.750
Sm: 0.801 0.199 0.102
Sm: 0.801 0.199 0.398
Sm: 0.873 0.127 0.682
Sm: 0.873 0.127 0.818
Er: 0.151 0.849 0.044
Er: 0.151 0.849 0.456
Er: 0.460 0.540 0.123
Er: 0.460 0.540 0.377
Er: 0.540 0.460 0.623
Er: 0.540 0.460 0.877
Er: 0.849 0.151 0.544
Er: 0.849 0.151 0.956